Simulated X-ray powder pattern of Hf2AlNi2Sb for Cu Kα X-rays, from DFT lattice parameters and positions (PBE).

Largest 10 diffraction maxima, sorted by position, 10 to 90 degrees two-theta:
- 25.67 deg, I = 37
- 26.73 deg, I = 6
- 29.73 deg, I = 45
- 42.54 deg, I = 100
- 50.35 deg, I = 18
- 52.76 deg, I = 12
- 61.73 deg, I = 16
- 67.98 deg, I = 7
- 70.00 deg, I = 16
- 77.86 deg, I = 32

Structure:
abc: 7.364 7.364 7.364
angles: 131.84 131.84 70.48
Fractional positions:
Hf (0.243, 0.243, 0.000)
Hf (0.507, 0.007, 0.500)
Hf (0.757, 0.757, 0.000)
Hf (0.993, 0.493, 0.500)
Al (0.000, 0.000, 0.000)
Al (0.750, 0.250, 0.500)
Ni (0.121, 0.625, 0.996)
Ni (0.375, 0.371, 0.496)
Ni (0.629, 0.125, 0.004)
Ni (0.875, 0.879, 0.504)
Sb (0.250, 0.750, 0.500)
Sb (0.500, 0.500, 0.000)

Simulated X-ray powder pattern of Hf2AlO4 for Cu Kα X-rays, from DFT lattice parameters and positions (PBE).

Largest 10 diffraction maxima, sorted by position, 10 to 90 degrees two-theta:
- 16.67 deg, I = 100
- 32.24 deg, I = 78
- 33.71 deg, I = 53
- 39.12 deg, I = 47
- 42.80 deg, I = 20
- 51.56 deg, I = 33
- 56.52 deg, I = 39
- 59.37 deg, I = 21
- 67.45 deg, I = 26
- 80.02 deg, I = 17

Structure:
abc: 6.511 6.511 6.511
angles: 119.96 119.96 90.07
Fractional positions:
Hf (0.000, 0.000, 0.000)
Hf (0.000, 0.000, 0.500)
Hf (0.000, 0.500, 0.000)
Hf (0.500, 0.000, 0.500)
Al (0.375, 0.625, 0.750)
Al (0.625, 0.375, 0.250)
O (0.194, 0.232, 0.963)
O (0.231, 0.768, 0.463)
O (0.232, 0.194, 0.463)
O (0.232, 0.769, 0.037)
O (0.768, 0.231, 0.963)
O (0.768, 0.806, 0.537)
O (0.769, 0.232, 0.537)
O (0.806, 0.768, 0.037)

Simulated X-ray powder pattern of PrHfAl2Pd4 for Cu Kα X-rays, from DFT lattice parameters and positions (PBE).

Largest 10 diffraction maxima, sorted by position, 10 to 90 degrees two-theta:
- 23.56 deg, I = 46
- 25.55 deg, I = 8
- 38.08 deg, I = 100
- 41.42 deg, I = 65
- 48.20 deg, I = 7
- 57.52 deg, I = 30
- 66.50 deg, I = 6
- 73.33 deg, I = 29
- 75.54 deg, I = 11
- 76.58 deg, I = 12

Structure:
abc: 4.360 4.360 9.090
angles: 90.00 90.00 120.00
Fractional positions:
Pr (0.000, 0.000, 0.000)
Hf (0.333, 0.667, 0.500)
Al (0.667, 0.333, 0.273)
Al (0.667, 0.333, 0.727)
Pd (0.000, 0.000, 0.347)
Pd (0.000, 0.000, 0.653)
Pd (0.333, 0.667, 0.191)
Pd (0.333, 0.667, 0.809)